Diffraction record for UMnO4. The powder diffraction line list is simulated, not measured: it uses a structure optimized by DFT (PBE+U) and Cu Kα X-rays.
Kinematic intensities with the Lorentz-polarization factor, no thermal factor.

Most intense lines, 2θ = 5–70°, sorted by position:
d/Å  Rel. int.
4.815  78.6
3.510  17.9
3.435  52.0
3.375  47.9
2.836  100.0
2.455  25.6
2.408  25.3
1.845  38.7
1.826  35.2
1.460  21.0

Structure:
Cell lengths 4.816, 4.816, 3.510 Å; angles 90.00, 90.00, 91.00 degrees
Element x y z (fractional)
1 U 0.000 0.000 0.000
2 Mn 0.500 0.500 0.500
3 O 0.187 0.813 0.500
4 O 0.293 0.293 0.000
5 O 0.707 0.707 0.000
6 O 0.813 0.187 0.500